# 1
Structure and theoretical PXRD pattern of CaTh4Sn15 (a GGA-PBE-relaxed structure; copper Kα).
Intensities are scaled so that the largest is 100.

Top 10 peaks for 2θ = 10–80°, sorted by position:
2θ/deg  Rel. int.
18.57  3
26.59  3
32.61  100
37.66  34
38.19  16
54.32  12
54.71  24
64.81  29
65.52  14
68.33  12

```
CaTh4Sn15
1.0
4.777 0.000 0.000
0.000 4.777 0.000
0.000 0.000 23.568
Ca Th Sn
1 4 15
Direct
0.000 0.000 0.000
0.000 0.000 0.203
0.000 0.000 0.400
0.000 0.000 0.600
0.000 0.000 0.797
0.000 0.500 0.100
0.000 0.500 0.301
0.000 0.500 0.500
0.000 0.500 0.699
0.000 0.500 0.900
0.500 0.000 0.100
0.500 0.000 0.301
0.500 0.000 0.500
0.500 0.000 0.699
0.500 0.000 0.900
0.500 0.500 0.000
0.500 0.500 0.199
0.500 0.500 0.400
0.500 0.500 0.600
0.500 0.500 0.801
```

---

# 2
Structure and theoretical PXRD pattern of SnBi2Se5 (a GGA-PBE-relaxed structure; copper Kα).
Intensities are scaled so that the largest is 100.

Top 10 peaks for 2θ = 10–80°, sorted by position:
2θ/deg  Rel. int.
12.39  62
16.68  100
23.39  84
31.24  71
32.01  79
39.39  44
40.14  26
40.60  63
45.34  60
51.72  26

```
SnBi2Se5
1.0
2.863 -7.143 0.000
2.863 7.143 0.000
0.000 0.000 13.482
Sn Bi Se
2 4 10
Direct
0.176 0.824 0.750
0.824 0.176 0.250
0.156 0.844 0.063
0.156 0.844 0.437
0.844 0.156 0.563
0.844 0.156 0.937
0.046 0.954 0.611
0.046 0.954 0.889
0.277 0.723 0.250
0.305 0.695 0.593
0.305 0.695 0.907
0.695 0.305 0.093
0.695 0.305 0.407
0.723 0.277 0.750
0.954 0.046 0.111
0.954 0.046 0.389
```

---

# 3
Structure and theoretical PXRD pattern of LaTb2Dy6Tm (a GGA-PBE-relaxed structure; copper Kα).
Intensities are scaled so that the largest is 100.

Top 10 peaks for 2θ = 10–80°, sorted by position:
2θ/deg  Rel. int.
28.32  15
28.45  35
30.68  100
31.15  58
31.29  42
31.66  35
32.39  18
34.08  45
34.89  13
37.54  19

```
LaTb2Dy6Tm
1.0
4.557 -7.533 0.000
4.557 7.533 0.000
-1.055 0.000 9.470
La Tb Dy Tm
2 4 12 2
Direct
0.027 0.973 0.750
0.973 0.027 0.250
0.200 0.306 0.548
0.306 0.200 0.048
0.694 0.800 0.952
0.800 0.694 0.452
0.015 0.562 0.683
0.126 0.749 0.058
0.251 0.874 0.442
0.292 0.510 0.883
0.438 0.985 0.817
0.490 0.708 0.617
0.510 0.292 0.383
0.562 0.015 0.183
0.708 0.490 0.117
0.749 0.126 0.558
0.874 0.251 0.942
0.985 0.438 0.317
0.410 0.590 0.250
0.590 0.410 0.750
```

---

# 4
Structure and theoretical PXRD pattern of Nd4BiAu (a GGA-PBE-relaxed structure; copper Kα).
Intensities are scaled so that the largest is 100.

Top 10 peaks for 2θ = 10–80°, sorted by position:
2θ/deg  Rel. int.
12.34  36
28.83  45
29.35  53
30.53  83
32.77  82
33.06  100
33.39  92
33.52  37
34.37  68
37.43  30

```
Nd4BiAu
1.0
4.513 -7.161 0.000
4.513 7.161 0.000
-2.382 0.000 5.763
Nd Bi Au
8 2 2
Direct
0.081 0.704 0.935
0.207 0.375 0.653
0.296 0.919 0.565
0.375 0.207 0.153
0.625 0.793 0.847
0.704 0.081 0.435
0.793 0.625 0.347
0.919 0.296 0.065
0.384 0.616 0.250
0.616 0.384 0.750
0.001 0.999 0.250
0.999 0.001 0.750
```

---

# 5
Structure and theoretical PXRD pattern of Sm5Tl2Ir (a GGA-PBE-relaxed structure; copper Kα).
Intensities are scaled so that the largest is 100.

Top 10 peaks for 2θ = 10–80°, sorted by position:
2θ/deg  Rel. int.
30.26  100
30.70  51
30.95  43
32.79  69
34.40  41
37.50  57
42.55  23
49.37  30
49.73  25
62.92  17

```
Sm5Tl2Ir
1.0
7.864 0.000 0.000
0.000 12.426 0.000
0.000 0.000 4.797
Sm Tl Ir
10 4 2
Direct
0.000 0.000 0.000
0.137 0.296 0.000
0.182 0.572 0.500
0.318 0.072 0.500
0.363 0.796 0.000
0.500 0.500 0.000
0.637 0.204 0.000
0.682 0.928 0.500
0.818 0.428 0.500
0.863 0.704 0.000
0.077 0.832 0.500
0.423 0.332 0.500
0.577 0.668 0.500
0.923 0.168 0.500
0.000 0.500 0.000
0.500 0.000 0.000
```

---

# 6
Structure and theoretical PXRD pattern of Li3HoPd7 (a GGA-PBE-relaxed structure; copper Kα).
Intensities are scaled so that the largest is 100.

Top 10 peaks for 2θ = 10–80°, sorted by position:
2θ/deg  Rel. int.
15.01  53
20.47  36
32.91  27
38.82  100
39.02  21
39.71  36
41.63  43
42.47  31
48.42  23
50.75  19

```
Li3HoPd7
1.0
4.359 -4.025 0.000
4.359 4.025 0.000
-0.501 0.000 5.158
Li Ho Pd
3 1 7
Direct
0.000 0.000 0.000
0.187 0.813 0.500
0.813 0.187 0.500
0.500 0.500 0.000
0.075 0.415 0.236
0.221 0.221 0.713
0.415 0.075 0.236
0.500 0.500 0.500
0.585 0.925 0.764
0.779 0.779 0.287
0.925 0.585 0.764
```

---

# 7
Structure and theoretical PXRD pattern of OsCl2F6 (a GGA-PBE-relaxed structure; copper Kα).
Intensities are scaled so that the largest is 100.

Top 10 peaks for 2θ = 10–80°, sorted by position:
2θ/deg  Rel. int.
15.52  100
21.68  83
22.36  96
31.34  21
34.71  40
38.84  36
39.24  17
47.80  18
57.37  18
61.72  15

```
OsCl2F6
1.0
3.976 2.296 3.402
-3.976 2.296 3.402
0.000 -4.591 3.402
Os Cl F
1 2 6
Direct
0.000 0.000 0.000
0.404 0.404 0.404
0.596 0.596 0.596
0.098 0.715 0.867
0.133 0.902 0.285
0.285 0.133 0.902
0.715 0.867 0.098
0.867 0.098 0.715
0.902 0.285 0.133
```

---

# 8
Structure and theoretical PXRD pattern of La2Pm5PrEr (a GGA-PBE-relaxed structure; copper Kα).
Intensities are scaled so that the largest is 100.

Top 10 peaks for 2θ = 10–80°, sorted by position:
2θ/deg  Rel. int.
25.10  18
28.70  52
29.77  100
31.50  29
34.02  12
38.75  10
42.55  10
44.13  12
51.51  27
53.49  14

```
La2Pm5PrEr
1.0
8.798 0.000 0.000
0.000 8.798 0.000
0.000 0.000 8.209
La Pm Pr Er
4 10 2 2
Direct
0.119 0.381 0.000
0.381 0.881 0.000
0.619 0.119 0.000
0.881 0.619 0.000
0.000 0.000 0.000
0.217 0.717 0.282
0.217 0.717 0.718
0.283 0.217 0.282
0.283 0.217 0.718
0.500 0.500 0.000
0.717 0.783 0.282
0.717 0.783 0.718
0.783 0.283 0.282
0.783 0.283 0.718
0.000 0.000 0.500
0.500 0.500 0.500
0.000 0.500 0.500
0.500 0.000 0.500
```

---

# 9
Structure and theoretical PXRD pattern of YBe2CuPd5 (a GGA-PBE-relaxed structure; copper Kα).
Intensities are scaled so that the largest is 100.

Top 10 peaks for 2θ = 10–80°, sorted by position:
2θ/deg  Rel. int.
31.59  20
38.52  10
38.80  100
41.23  50
52.19  7
57.70  12
59.73  16
68.58  12
73.54  29
74.25  9

```
YBe2CuPd5
1.0
4.379 0.000 0.000
0.000 4.379 0.000
0.000 0.000 7.011
Y Be Cu Pd
1 2 1 5
Direct
0.000 0.000 0.000
0.500 0.500 0.340
0.500 0.500 0.660
0.000 0.000 0.500
0.000 0.500 0.286
0.000 0.500 0.714
0.500 0.000 0.286
0.500 0.000 0.714
0.500 0.500 0.000
```

---

Repeat the first record exactly.
Structure and theoretical PXRD pattern of CaTh4Sn15 (a GGA-PBE-relaxed structure; copper Kα).
Intensities are scaled so that the largest is 100.

Top 10 peaks for 2θ = 10–80°, sorted by position:
2θ/deg  Rel. int.
18.57  3
26.59  3
32.61  100
37.66  34
38.19  16
54.32  12
54.71  24
64.81  29
65.52  14
68.33  12

```
CaTh4Sn15
1.0
4.777 0.000 0.000
0.000 4.777 0.000
0.000 0.000 23.568
Ca Th Sn
1 4 15
Direct
0.000 0.000 0.000
0.000 0.000 0.203
0.000 0.000 0.400
0.000 0.000 0.600
0.000 0.000 0.797
0.000 0.500 0.100
0.000 0.500 0.301
0.000 0.500 0.500
0.000 0.500 0.699
0.000 0.500 0.900
0.500 0.000 0.100
0.500 0.000 0.301
0.500 0.000 0.500
0.500 0.000 0.699
0.500 0.000 0.900
0.500 0.500 0.000
0.500 0.500 0.199
0.500 0.500 0.400
0.500 0.500 0.600
0.500 0.500 0.801
```

---

Question: Number 8 is which compound?
Answer: La2Pm5PrEr